# CaNd3Cr4O16
Calculated X-ray diffraction stick pattern, Cu Kα. Input: a crystal structure in Alexandria, relaxed with GGA+U.

Atomic structure:
Unit cell a=7.416 b=7.416 c=6.420 alpha=90.00 beta=90.00 gamma=90.00
Fractional coordinates of all 24 atoms:
Ca1 0.000 0.000 0.000
Nd1 0.000 0.500 0.751
Nd2 0.500 0.000 0.249
Nd3 0.500 0.500 0.500
Cr1 0.000 0.000 0.500
Cr2 0.000 0.500 0.246
Cr3 0.500 0.000 0.754
Cr4 0.500 0.500 0.000
O1 0.000 0.178 0.658
O2 0.000 0.318 0.082
O3 0.000 0.682 0.082
O4 0.000 0.822 0.658
O5 0.178 0.000 0.342
O6 0.179 0.500 0.423
O7 0.318 0.000 0.918
O8 0.319 0.500 0.832
O9 0.500 0.179 0.577
O10 0.500 0.319 0.168
O11 0.500 0.681 0.168
O12 0.500 0.821 0.577
O13 0.681 0.500 0.832
O14 0.682 0.000 0.918
O15 0.821 0.500 0.423
O16 0.822 0.000 0.342

Most intense lines, 2θ from 5° to 70°, by angle:
- (1 0 1), 4.854 Å, 18.3°, intensity 20
- (2 0 0), 3.708 Å, 24.0°, intensity 100
- (1 1 2), 2.738 Å, 32.7°, intensity 65
- (2 2 0), 2.622 Å, 34.2°, intensity 19
- (3 1 2), 1.894 Å, 48.0°, intensity 56
- (3 3 2), 1.535 Å, 60.3°, intensity 17